Simulated powder diffractogram
Compound: Co3O2F4
Radiation: copper Kα
Structure: a structure optimized by DFT (GGA+U)

The 10 most intense peaks (10° ≤ 2θ ≤ 90°), low angle first:
two_theta  intensity  (hkl)
27.29  100.0  1 3 0
34.94  58.4  0 3 1
40.17  13.8  1 3 1
43.81  8.4  1 6 0
51.06  9.9  2 2 1
53.34  51.1  1 6 1
56.32  15.7  2 6 0
59.89  10.9  0 0 2
67.02  12.9  1 3 2
68.08  11.0  0 9 1

Structural model:
```
Co3O2F4
1.0
4.627 0.000 0.000
0.000 13.847 0.000
0.000 0.000 3.089
Co O F
6 4 8
Cartesian
0.000 0.000 0.000
0.317 4.741 0.000
1.997 11.664 1.544
2.313 6.923 1.544
2.630 2.182 1.544
4.310 9.106 0.000
1.089 5.586 1.544
1.224 12.509 0.000
3.402 1.338 0.000
3.538 8.261 1.544
0.636 10.093 1.544
0.970 0.895 1.544
1.343 7.818 0.000
1.678 3.169 0.000
2.949 10.677 0.000
3.283 6.028 0.000
3.657 12.952 1.544
3.991 3.754 1.544
```